For Mn7Ni8Sn, a cell relaxed with GGA-PBE gives the theoretical X-ray diffraction stick pattern in this record (Cu Kα (weighted mean of Kα1 and Kα2)).

Top 6 peaks for 10 to 90 degrees two-theta, in order of falling intensity:
d_spacing, intensity
2.079, 100
2.094, 98
1.475, 30
1.203, 29
1.200, 15
1.212, 13

Structural model:
abc: 13.9362 13.9362 13.9362
angles: 17.16 17.16 17.16
Fractional positions:
Mn 0.0000 0.0000 0.0000
Mn 0.1231 0.1231 0.1231
Mn 0.2520 0.2520 0.2520
Mn 0.3742 0.3742 0.3742
Mn 0.6258 0.6258 0.6258
Mn 0.7480 0.7480 0.7480
Mn 0.8769 0.8769 0.8769
Ni 0.0618 0.0618 0.0618
Ni 0.1916 0.1916 0.1916
Ni 0.3131 0.3131 0.3131
Ni 0.4351 0.4351 0.4351
Ni 0.5649 0.5649 0.5649
Ni 0.6869 0.6869 0.6869
Ni 0.8084 0.8084 0.8084
Ni 0.9382 0.9382 0.9382
Sn 0.5000 0.5000 0.5000

***

For TbDy3Th4, a cell relaxed with GGA-PBE gives the theoretical X-ray diffraction stick pattern in this record (Cu Kα (weighted mean of Kα1 and Kα2)).

Top 6 peaks for 10 to 90 degrees two-theta, in order of falling intensity:
d_spacing, intensity
2.855, 100
2.842, 51
1.469, 42
2.940, 39
2.867, 38
2.443, 35

Structural model:
abc: 8.8797 8.8797 8.8797
angles: 157.73 100.41 83.91
Fractional positions:
Tb 0.0000 0.0000 0.0000
Dy 0.2351 0.7351 0.5000
Dy 0.5000 0.5000 0.0000
Dy 0.7649 0.2649 0.5000
Th 0.1230 0.8701 0.2529
Th 0.3828 0.1299 0.2529
Th 0.6172 0.8701 0.7471
Th 0.8770 0.1299 0.7471

***

For La5Br7, a cell relaxed with GGA-PBE gives the theoretical X-ray diffraction stick pattern in this record (Cu Kα (weighted mean of Kα1 and Kα2)).

Top 6 peaks for 10 to 90 degrees two-theta, in order of falling intensity:
d_spacing, intensity
2.953, 100
2.438, 45
2.656, 34
2.841, 27
2.369, 21
1.900, 19

Structural model:
abc: 7.4338 7.4338 13.6464
angles: 98.24 98.24 29.62
Fractional positions:
La 0.0000 0.0000 0.0000
La 0.1489 0.1489 0.4338
La 0.3470 0.3470 0.1476
La 0.6530 0.6530 0.8524
La 0.8511 0.8511 0.5662
Br 0.0092 0.0092 0.2317
Br 0.2175 0.2175 0.6608
Br 0.3290 0.3290 0.9205
Br 0.5000 0.5000 0.5000
Br 0.6710 0.6710 0.0795
Br 0.7825 0.7825 0.3392
Br 0.9908 0.9908 0.7683

***

For LiNpGe2O8, a cell relaxed with GGA-PBE gives the theoretical X-ray diffraction stick pattern in this record (Cu Kα (weighted mean of Kα1 and Kα2)).

Top 6 peaks for 10 to 90 degrees two-theta, in order of falling intensity:
d_spacing, intensity
3.428, 100
2.655, 78
4.658, 77
4.847, 74
1.790, 65
2.761, 34

Structural model:
abc: 5.7940 5.7940 5.7940
angles: 107.46 107.46 113.57
Fractional positions:
Li 0.0000 0.0000 0.0000
Np 0.2500 0.7500 0.5000
Ge 0.5000 0.5000 0.0000
Ge 0.7500 0.2500 0.5000
O 0.3273 0.1261 0.7988
O 0.3273 0.5285 0.2012
O 0.3684 0.0531 0.3153
O 0.4715 0.6727 0.7988
O 0.7377 0.0531 0.6847
O 0.8739 0.6727 0.2012
O 0.9469 0.2623 0.3153
O 0.9469 0.6316 0.6847